The following is a calculated X-ray powder pattern of KI2Br6. It was derived from DFT lattice parameters and positions (PBE), using copper Kα.
No peak broadening, texture or thermal motion is included.

Crystal structure
```
KI2Br6
1.0
6.8655 -5.3042 0.0000
6.8655 5.3042 0.0000
-5.8457 0.0000 10.0707
K I Br
2 4 12
Cartesian
2.4812 4.3045 7.5530 K
5.4040 -4.3045 2.5177 K
3.9070 1.0036 1.9250 I
0.9841 -1.0036 6.9604 I
6.9011 1.0036 3.1103 I
3.9783 -1.0036 8.1457 I
1.5528 1.3215 0.4219 Br
3.4582 3.3400 3.2900 Br
1.5412 1.2286 5.6202 Br
-1.3700 -1.3215 5.4573 Br
7.3499 3.3400 1.7454 Br
4.4641 -1.2286 0.5849 Br
3.4212 1.2286 9.4859 Br
0.5354 -3.3400 8.3254 Br
9.2552 1.3215 4.6135 Br
6.3440 -1.2286 4.4505 Br
4.4270 -3.3400 6.7807 Br
6.3324 -1.3215 9.6488 Br
```

Main lines, by angle (2θ from 15° to 90°):
16.40°, rel. 35; 17.43°, rel. 100; 21.24°, rel. 28; 23.95°, rel. 40; 26.11°, rel. 51; 28.55°, rel. 82; 30.10°, rel. 61; 33.76°, rel. 64; 34.82°, rel. 23; 34.99°, rel. 20; 40.65°, rel. 34; 48.67°, rel. 20